No. 1
This entry pairs a crystal structure of Zn6CuAu3 with its computed powder X-ray diffraction pattern. Radiation: copper Kα. Structure: a PBE-relaxed structure.
Neutral-atom scattering factors, no anomalous dispersion.

Cell and atoms:
Cell: 7.498 4.485 9.829 Å, 90.00 111.13 90.00°
Space group P2_1/m (No. 11)
Unique sites:
Zn 0.001 0.250 0.167 [2 per cell]
Zn 0.002 0.750 0.324 [2 per cell]
Zn 0.201 0.750 0.144 [2 per cell]
Zn 0.228 0.250 0.470 [2 per cell]
Zn 0.394 0.750 0.927 [2 per cell]
Zn 0.417 0.250 0.288 [2 per cell]
Cu 0.397 0.750 0.432 [2 per cell]
Au 0.169 0.750 0.618 [2 per cell]
Au 0.201 0.250 0.980 [2 per cell]
Au 0.416 0.250 0.772 [2 per cell]

Peak list (10 most intense, 2θ = 15–90°, by angle)
hkl 1 1 1, 27.24 deg, intensity 40
hkl 2 0 -3, 31.13 deg, intensity 32
hkl 2 0 2, 37.55 deg, intensity 39
hkl 0 2 0, 40.21 deg, intensity 68
hkl 3 1 -2, 41.77 deg, intensity 100
hkl 1 1 -4, 41.94 deg, intensity 100
hkl 2 1 2, 42.80 deg, intensity 55
hkl 2 2 2, 56.19 deg, intensity 24
hkl 3 3 -2, 74.15 deg, intensity 18
hkl 1 3 -4, 74.27 deg, intensity 18

---

No. 2
This entry pairs a crystal structure of HoIn4CuS8 with its computed powder X-ray diffraction pattern. Radiation: copper Kα. Structure: a PBE-relaxed structure.
Neutral-atom scattering factors, no anomalous dispersion.

Cell and atoms:
Cell: 7.7284 7.7284 18.7553 Å, 90.00 90.00 120.00°
Space group R3m (No. 160, hexagonal axes)
Unique sites:
Ho 0.0000 0.0000 0.0000 [3 per cell]
In 0.0000 0.0000 0.6142 [3 per cell]
In 0.1748 0.3496 0.8222 [9 per cell]
Cu 0.0000 0.0000 0.3662 [3 per cell]
S 0.0000 0.0000 0.2389 [3 per cell]
S 0.0000 0.0000 0.7504 [3 per cell]
S 0.1678 0.3355 0.0770 [9 per cell]
S 0.1772 0.3543 0.5706 [9 per cell]

Peak list (10 most intense, 2θ = 15–90°, by angle)
hkl 1 1 0, 23.02 deg, intensity 20
hkl 1 1 3, 27.11 deg, intensity 100
hkl 0 1 5, 27.25 deg, intensity 39
hkl 0 2 4, 32.88 deg, intensity 49
hkl 1 2 5, 43.09 deg, intensity 50
hkl 2 2 0, 47.03 deg, intensity 46
hkl 2 0 8, 47.34 deg, intensity 44
hkl 4 1 3, 65.67 deg, intensity 18
hkl 0 4 8, 68.95 deg, intensity 13
hkl 4 2 8, 87.66 deg, intensity 14

---

No. 3
This entry pairs a crystal structure of La6Tb2Dy with its computed powder X-ray diffraction pattern. Radiation: copper Kα. Structure: a PBE-relaxed structure.
Neutral-atom scattering factors, no anomalous dispersion.

Cell and atoms:
Cell: 9.521 17.952 3.701 Å, 90.00 90.00 90.00°
Space group Cmmm (No. 65)
Unique sites:
La 0.172 0.166 0.000 [8 per cell]
La 0.179 0.000 0.500 [4 per cell]
Tb 0.000 0.328 0.500 [4 per cell]
Dy 0.000 0.500 0.000 [2 per cell]

Peak list (10 most intense, 2θ = 15–90°, by angle)
hkl 3 1 0, 28.56 deg, intensity 36
hkl 0 6 0, 29.88 deg, intensity 100
hkl 2 2 1, 32.22 deg, intensity 31
hkl 2 4 1, 36.70 deg, intensity 19
hkl 3 5 0, 37.83 deg, intensity 19
hkl 2 8 1, 51.34 deg, intensity 9
hkl 1 9 1, 53.03 deg, intensity 12
hkl 5 3 1, 56.48 deg, intensity 16
hkl 3 1 2, 57.92 deg, intensity 10
hkl 0 6 2, 58.66 deg, intensity 11

---

No. 4
This entry pairs a crystal structure of Dy2Al9Cu6 with its computed powder X-ray diffraction pattern. Radiation: copper Kα. Structure: a PBE-relaxed structure.
Neutral-atom scattering factors, no anomalous dispersion.

Cell and atoms:
Cell: 5.3153 5.3153 12.2524 Å, 90.00 90.00 120.00°
Space group P6/mmm (No. 191)
Unique sites:
Dy 0.0000 0.0000 0.1651 [2 per cell]
Al 0.0000 0.5000 0.0000 [3 per cell]
Al 0.0000 0.5000 0.3364 [6 per cell]
Cu 0.3333 0.6667 0.1677 [4 per cell]
Cu 0.3333 0.6667 0.5000 [2 per cell]

Peak list (10 most intense, 2θ = 15–90°, by angle)
hkl 1 0 1, 20.61 deg, intensity 23
hkl 0 0 3, 21.76 deg, intensity 29
hkl 1 0 2, 24.18 deg, intensity 14
hkl 1 0 3, 29.22 deg, intensity 15
hkl 1 1 0, 33.73 deg, intensity 54
hkl 1 1 3, 40.50 deg, intensity 100
hkl 0 0 6, 44.36 deg, intensity 18
hkl 1 1 6, 56.86 deg, intensity 23
hkl 3 0 3, 64.92 deg, intensity 24
hkl 2 2 6, 87.60 deg, intensity 15

---

No. 5
This entry pairs a crystal structure of Ti4GaPd with its computed powder X-ray diffraction pattern. Radiation: copper Kα. Structure: a PBE-relaxed structure.
Neutral-atom scattering factors, no anomalous dispersion.

Cell and atoms:
Cell: 10.140 13.793 2.772 Å, 90.00 90.00 90.00°
Space group Pbam (No. 55)
Unique sites:
Ti 0.055 0.244 0.000 [4 per cell]
Ti 0.083 0.577 0.000 [4 per cell]
Ti 0.088 0.932 0.000 [4 per cell]
Ti 0.198 0.758 0.000 [4 per cell]
Ga 0.165 0.407 0.500 [4 per cell]
Pd 0.176 0.090 0.500 [4 per cell]

Peak list (10 most intense, 2θ = 15–90°, by angle)
hkl 0 2 1, 34.89 deg, intensity 18
hkl 2 0 1, 36.96 deg, intensity 25
hkl 2 1 1, 37.55 deg, intensity 31
hkl 0 6 0, 39.20 deg, intensity 72
hkl 4 3 0, 40.64 deg, intensity 100
hkl 0 4 1, 41.81 deg, intensity 30
hkl 2 3 1, 42.03 deg, intensity 88
hkl 4 1 1, 49.15 deg, intensity 22
hkl 6 6 1, 78.22 deg, intensity 20
hkl 4 3 2, 81.96 deg, intensity 23

---

No. 6
This entry pairs a crystal structure of RbCd9Au2 with its computed powder X-ray diffraction pattern. Radiation: copper Kα. Structure: a PBE-relaxed structure.
Neutral-atom scattering factors, no anomalous dispersion.

Cell and atoms:
Cell: 12.099 12.099 7.821 Å, 90.00 90.00 90.00°
Space group I4_1/amd (No. 141, origin choice 2)
Unique sites:
Rb 0.000 0.250 0.375 [4 per cell]
Cd 0.000 0.250 0.875 [4 per cell]
Cd 0.121 0.047 0.682 [32 per cell]
Au 0.000 0.000 0.000 [8 per cell]

Peak list (10 most intense, 2θ = 15–90°, by angle)
hkl 3 2 1, 28.95 deg, intensity 30
hkl 3 1 2, 32.75 deg, intensity 52
hkl 4 2 0, 33.11 deg, intensity 42
hkl 1 0 3, 35.21 deg, intensity 29
hkl 2 1 3, 38.32 deg, intensity 37
hkl 5 0 1, 38.96 deg, intensity 100
hkl 4 2 2, 40.55 deg, intensity 57
hkl 5 5 2, 58.92 deg, intensity 18
hkl 7 4 1, 63.08 deg, intensity 18
hkl 8 4 0, 69.49 deg, intensity 16

---

No. 7
This entry pairs a crystal structure of Nb12Sn3Sb with its computed powder X-ray diffraction pattern. Radiation: copper Kα. Structure: a PBE-relaxed structure.
Neutral-atom scattering factors, no anomalous dispersion.

Cell and atoms:
Cell: 5.330 5.335 10.607 Å, 90.00 90.00 90.00°
Space group Pmmm (No. 47)
Unique sites:
Nb 0.000 0.000 0.124 [2 per cell]
Nb 0.000 0.000 0.376 [2 per cell]
Nb 0.250 0.500 0.249 [4 per cell]
Nb 0.500 0.252 0.000 [2 per cell]
Nb 0.500 0.253 0.500 [2 per cell]
Sn 0.000 0.500 0.500 [1 per cell]
Sn 0.500 0.000 0.250 [2 per cell]
Sb 0.000 0.500 0.000 [1 per cell]

Peak list (10 most intense, 2θ = 15–90°, by angle)
hkl 2 0 0, 33.61 deg, intensity 45
hkl 0 0 4, 33.80 deg, intensity 22
hkl 2 0 2, 37.74 deg, intensity 100
hkl 0 1 4, 37.89 deg, intensity 50
hkl 1 2 2, 41.52 deg, intensity 100
hkl 1 1 4, 41.64 deg, intensity 48
hkl 1 3 4, 65.55 deg, intensity 38
hkl 2 1 6, 65.75 deg, intensity 26
hkl 4 0 0, 70.66 deg, intensity 18
hkl 1 4 4, 83.03 deg, intensity 15

---

No. 8
This entry pairs a crystal structure of ZrMo with its computed powder X-ray diffraction pattern. Radiation: copper Kα. Structure: a PBE-relaxed structure.
Neutral-atom scattering factors, no anomalous dispersion.

Cell and atoms:
Cell: 3.317 4.776 9.588 Å, 90.00 90.00 90.00°
Space group Imma (No. 74)
Unique sites:
Zr 0.000 0.250 0.116 [4 per cell]
Mo 0.000 0.250 0.644 [4 per cell]

Peak list (10 most intense, 2θ = 15–90°, by angle)
hkl 0 0 4, 37.52 deg, intensity 23
hkl 0 2 0, 37.67 deg, intensity 27
hkl 1 1 2, 37.99 deg, intensity 100
hkl 0 2 4, 54.22 deg, intensity 15
hkl 2 0 0, 55.39 deg, intensity 10
hkl 1 1 6, 68.01 deg, intensity 13
hkl 1 3 2, 68.21 deg, intensity 17
hkl 2 2 0, 68.89 deg, intensity 18
hkl 0 4 0, 80.44 deg, intensity 3
hkl 2 2 4, 81.23 deg, intensity 9

---

No. 9
This entry pairs a crystal structure of SrAcInO with its computed powder X-ray diffraction pattern. Radiation: copper Kα. Structure: a PBE-relaxed structure.
Neutral-atom scattering factors, no anomalous dispersion.

Cell and atoms:
Cell: 3.927 3.957 15.274 Å, 90.00 90.00 90.00°
Space group Imm2 (No. 44)
Unique sites:
Sr 0.000 0.000 0.000 [2 per cell]
Ac 0.000 0.000 0.695 [2 per cell]
In 0.000 0.000 0.349 [2 per cell]
O 0.000 0.500 0.604 [2 per cell]

Peak list (10 most intense, 2θ = 15–90°, by angle)
hkl 0 0 4, 23.26 deg, intensity 20
hkl 1 0 1, 23.39 deg, intensity 18
hkl 0 1 3, 28.57 deg, intensity 100
hkl 1 0 3, 28.71 deg, intensity 99
hkl 1 1 0, 32.12 deg, intensity 71
hkl 0 0 6, 35.26 deg, intensity 23
hkl 1 1 6, 48.43 deg, intensity 45
hkl 1 2 3, 55.02 deg, intensity 32
hkl 2 1 3, 55.26 deg, intensity 32
hkl 0 2 6, 59.19 deg, intensity 20

---

No. 10
This entry pairs a crystal structure of Dy2CdGa4Pt3 with its computed powder X-ray diffraction pattern. Radiation: copper Kα. Structure: a PBE-relaxed structure.
Neutral-atom scattering factors, no anomalous dispersion.

Cell and atoms:
Cell: 4.207 4.207 10.947 Å, 90.00 90.00 90.00°
Space group P-4m2 (No. 115)
Unique sites:
Dy 0.000 0.500 0.234 [2 per cell]
Cd 0.000 0.000 0.500 [1 per cell]
Ga 0.000 0.000 0.000 [1 per cell]
Ga 0.000 0.500 0.645 [2 per cell]
Ga 0.500 0.500 0.000 [1 per cell]
Pt 0.000 0.500 0.868 [2 per cell]
Pt 0.500 0.500 0.500 [1 per cell]

Peak list (10 most intense, 2θ = 15–90°, by angle)
hkl 1 1 1, 31.16 deg, intensity 23
hkl 1 0 3, 32.48 deg, intensity 59
hkl 1 1 2, 34.31 deg, intensity 100
hkl 2 0 0, 43.00 deg, intensity 65
hkl 1 1 4, 45.01 deg, intensity 29
hkl 1 0 5, 46.78 deg, intensity 34
hkl 2 1 3, 54.90 deg, intensity 35
hkl 2 2 0, 62.44 deg, intensity 21
hkl 2 1 5, 65.41 deg, intensity 25
hkl 3 1 2, 73.23 deg, intensity 22

---

No. 11
This entry pairs a crystal structure of Tm6ZnAg3 with its computed powder X-ray diffraction pattern. Radiation: copper Kα. Structure: a PBE-relaxed structure.
Neutral-atom scattering factors, no anomalous dispersion.

Cell and atoms:
Cell: 8.799 5.093 11.423 Å, 90.00 108.16 90.00°
Space group P2_1/m (No. 11)
Unique sites:
Tm 0.006 0.250 0.395 [2 per cell]
Tm 0.168 0.750 0.191 [2 per cell]
Tm 0.247 0.250 0.010 [2 per cell]
Tm 0.357 0.750 0.836 [2 per cell]
Tm 0.364 0.250 0.628 [2 per cell]
Tm 0.389 0.250 0.349 [2 per cell]
Zn 0.451 0.750 0.109 [2 per cell]
Ag 0.032 0.750 0.880 [2 per cell]
Ag 0.119 0.250 0.739 [2 per cell]
Ag 0.270 0.750 0.471 [2 per cell]

Peak list (10 most intense, 2θ = 15–90°, by angle)
hkl 2 1 1, 30.73 deg, intensity 22
hkl 2 1 -3, 32.40 deg, intensity 20
hkl 2 0 -4, 33.30 deg, intensity 33
hkl 1 1 3, 34.73 deg, intensity 100
hkl 0 2 0, 35.25 deg, intensity 65
hkl 3 1 -1, 35.36 deg, intensity 74
hkl 2 1 -4, 37.81 deg, intensity 17
hkl 2 2 -4, 49.27 deg, intensity 22
hkl 1 3 3, 62.92 deg, intensity 19
hkl 3 3 -1, 63.33 deg, intensity 14

---

No. 12
This entry pairs a crystal structure of Tl2SnS2 with its computed powder X-ray diffraction pattern. Radiation: copper Kα. Structure: a PBE-relaxed structure.
Neutral-atom scattering factors, no anomalous dispersion.

Cell and atoms:
Cell: 6.117 11.842 3.864 Å, 90.00 90.00 90.00°
Space group Pbam (No. 55)
Unique sites:
Tl 0.068 0.162 0.000 [4 per cell]
Sn 0.000 0.500 0.000 [2 per cell]
S 0.189 0.359 0.500 [4 per cell]

Peak list (10 most intense, 2θ = 15–90°, by angle)
hkl 0 0 1, 23.02 deg, intensity 60
hkl 1 3 0, 26.88 deg, intensity 86
hkl 2 0 0, 29.20 deg, intensity 18
hkl 2 1 0, 30.18 deg, intensity 31
hkl 1 2 1, 31.27 deg, intensity 24
hkl 1 3 1, 35.67 deg, intensity 100
hkl 2 0 1, 37.50 deg, intensity 32
hkl 2 1 1, 38.29 deg, intensity 16
hkl 0 6 1, 52.02 deg, intensity 17
hkl 1 3 2, 55.00 deg, intensity 25